# 1
Theoretical powder diffractogram of Tm2Si4Mo3 for copper Kα, from a DFT-relaxed cell (PBE, Alexandria).

```
Tm2Si4Mo3
1.0
6.8260 0.0000 0.0000
0.0000 6.8863 0.0000
-2.1711 0.0000 6.3425
Tm Si Mo
4 8 6
Direct
0.1907 0.1703 0.0613 Tm
0.1907 0.3297 0.5613 Tm
0.8093 0.6703 0.4387 Tm
0.8093 0.8297 0.9387 Tm
0.0889 0.5433 0.8661 Si
0.0889 0.9567 0.3661 Si
0.4966 0.6314 0.6287 Si
0.4966 0.8686 0.1287 Si
0.5034 0.1314 0.8713 Si
0.5034 0.3686 0.3713 Si
0.9111 0.0433 0.6339 Si
0.9111 0.4567 0.1339 Si
0.2479 0.6630 0.2487 Mo
0.2479 0.8370 0.7487 Mo
0.5000 0.0000 0.5000 Mo
0.5000 0.5000 0.0000 Mo
0.7521 0.1630 0.2513 Mo
0.7521 0.3370 0.7513 Mo
```

Principal peaks in the range 2θ from 10° to 90°, in order of falling intensity:
37.75°, 2.383 Å, intensity 100; 37.46°, 2.401 Å, intensity 100; 41.85°, 2.159 Å, intensity 50; 42.53°, 2.125 Å, intensity 42; 35.12°, 2.555 Å, intensity 41; 34.62°, 2.591 Å, intensity 39; 30.60°, 2.921 Å, intensity 37; 38.21°, 2.355 Å, intensity 33



# 2
Theoretical powder diffractogram of La2Pm7Y4 for copper Kα, from a DFT-relaxed cell (PBE, Alexandria).

```
La2Pm7Y4
1.0
6.2869 0.0000 0.0000
-2.1010 7.8780 0.0000
-3.1419 -1.7220 8.9665
La Pm Y
2 7 4
Direct
0.1142 0.2288 0.0765 La
0.8858 0.7712 0.9235 La
0.0353 0.0763 0.6897 Pm
0.1939 0.3858 0.4637 Pm
0.3475 0.6932 0.2327 Pm
0.5000 0.0000 0.0000 Pm
0.6525 0.3068 0.7673 Pm
0.8061 0.6142 0.5363 Pm
0.9647 0.9237 0.3103 Pm
0.2679 0.5364 0.8442 Y
0.4225 0.8459 0.6153 Y
0.5775 0.1541 0.3847 Y
0.7321 0.4636 0.1558 Y
```

Principal peaks in the range 2θ from 10° to 90°, in order of falling intensity:
30.08°, 2.970 Å, intensity 100; 34.81°, 2.577 Å, intensity 46; 29.95°, 2.984 Å, intensity 34; 59.57°, 1.552 Å, intensity 33; 34.88°, 2.572 Å, intensity 22; 50.03°, 1.823 Å, intensity 16; 50.23°, 1.816 Å, intensity 16; 59.36°, 1.557 Å, intensity 10



# 3
Theoretical powder diffractogram of Li4Cu2Rh for copper Kα, from a DFT-relaxed cell (PBE, Alexandria).

```
Li4Cu2Rh
1.0
3.7196 -6.8859 0.0000
3.7196 6.8859 0.0000
0.0000 0.0000 4.4887
Li Cu Rh
8 4 2
Direct
0.0947 0.4053 0.7500 Li
0.1589 0.8411 0.7624 Li
0.3411 0.6589 0.2624 Li
0.4053 0.0947 0.2500 Li
0.5947 0.9053 0.7500 Li
0.6589 0.3411 0.7376 Li
0.8411 0.1589 0.2376 Li
0.9053 0.5947 0.2500 Li
0.1635 0.1635 0.0000 Cu
0.3365 0.3365 0.5000 Cu
0.6635 0.6635 0.5000 Cu
0.8365 0.8365 0.0000 Cu
0.0000 0.0000 0.5000 Rh
0.5000 0.5000 0.0000 Rh
```

Principal peaks in the range 2θ from 10° to 90°, in order of falling intensity:
12.86°, 6.886 Å, intensity 100; 42.15°, 2.144 Å, intensity 22; 25.88°, 3.443 Å, intensity 19; 46.27°, 1.962 Å, intensity 17; 42.36°, 2.134 Å, intensity 12; 53.77°, 1.705 Å, intensity 11; 48.41°, 1.880 Å, intensity 8; 39.25°, 2.295 Å, intensity 8



# 4
Theoretical powder diffractogram of Rb3GePSe7 for copper Kα, from a DFT-relaxed cell (PBE, Alexandria).

```
Rb3GePSe7
1.0
7.4149 0.0000 0.0000
3.6589 9.5213 0.0000
0.2033 2.7087 11.9838
Rb Ge P Se
6 2 2 14
Direct
0.0452 0.4905 0.2844 Rb
0.3247 0.8677 0.1062 Rb
0.3839 0.8153 0.4967 Rb
0.6161 0.1847 0.5033 Rb
0.6753 0.1323 0.8938 Rb
0.9548 0.5095 0.7156 Rb
0.4007 0.5644 0.8727 Ge
0.5993 0.4356 0.1273 Ge
0.2314 0.0692 0.7239 P
0.7686 0.9308 0.2761 P
0.0467 0.9330 0.7012 Se
0.0867 0.7568 0.8700 Se
0.1061 0.2191 0.5617 Se
0.1555 0.1602 0.8715 Se
0.3486 0.3929 0.0308 Se
0.4625 0.0642 0.2739 Se
0.4736 0.4907 0.7075 Se
0.5264 0.5093 0.2925 Se
0.5375 0.9358 0.7261 Se
0.6514 0.6071 0.9692 Se
0.8445 0.8398 0.1285 Se
0.8939 0.7809 0.4383 Se
0.9133 0.2432 0.1300 Se
0.9533 0.0670 0.2988 Se
```

Principal peaks in the range 2θ from 10° to 90°, in order of falling intensity:
26.02°, 3.425 Å, intensity 100; 26.75°, 3.332 Å, intensity 94; 26.33°, 3.385 Å, intensity 56; 30.72°, 2.911 Å, intensity 54; 28.68°, 3.113 Å, intensity 52; 38.04°, 2.366 Å, intensity 28; 37.53°, 2.397 Å, intensity 26; 28.84°, 3.096 Å, intensity 24



# 5
Theoretical powder diffractogram of CaPm4S4 for copper Kα, from a DFT-relaxed cell (PBE, Alexandria).

```
CaPm4S4
1.0
6.6783 -1.9982 0.0000
6.6783 1.9982 0.0000
-4.9024 0.0000 8.5012
Ca Pm S
1 4 4
Direct
0.0000 0.0000 0.0000 Ca
0.1995 0.1995 0.7946 Pm
0.3984 0.3984 0.6012 Pm
0.6016 0.6016 0.3988 Pm
0.8005 0.8005 0.2054 Pm
0.1977 0.1977 0.2989 S
0.3993 0.3993 0.0966 S
0.6007 0.6007 0.9034 S
0.8023 0.8023 0.7011 S
```

Principal peaks in the range 2θ from 10° to 90°, in order of falling intensity:
31.54°, 2.837 Å, intensity 100; 27.32°, 3.264 Å, intensity 93; 45.41°, 1.997 Å, intensity 53; 31.74°, 2.819 Å, intensity 49; 45.28°, 2.003 Å, intensity 36; 27.15°, 3.284 Å, intensity 31; 53.73°, 1.706 Å, intensity 25; 45.01°, 2.014 Å, intensity 19



# 6
Theoretical powder diffractogram of Tb3Er3ScS8 for copper Kα, from a DFT-relaxed cell (PBE, Alexandria).

```
Tb3Er3ScS8
1.0
3.8665 2.2323 6.3421
-3.8665 2.2323 6.3421
0.0000 -4.4646 6.3421
Tb Er Sc S
3 3 1 8
Direct
0.0000 0.5000 0.5000 Tb
0.5000 0.0000 0.5000 Tb
0.5000 0.5000 0.0000 Tb
0.0000 0.0000 0.5000 Er
0.0000 0.5000 0.0000 Er
0.5000 0.0000 0.0000 Er
0.5000 0.5000 0.5000 Sc
0.2481 0.2481 0.2481 S
0.2528 0.7436 0.7435 S
0.2564 0.2565 0.7472 S
0.2564 0.7472 0.2564 S
0.7435 0.2528 0.7435 S
0.7435 0.7435 0.2528 S
0.7472 0.2565 0.2565 S
0.7519 0.7519 0.7519 S
```

Principal peaks in the range 2θ from 10° to 90°, in order of falling intensity:
32.71°, 2.738 Å, intensity 100; 28.25°, 3.159 Å, intensity 49; 46.86°, 1.939 Å, intensity 36; 47.00°, 1.933 Å, intensity 35; 16.19°, 5.476 Å, intensity 25; 55.71°, 1.650 Å, intensity 24; 22.97°, 3.872 Å, intensity 23; 58.44°, 1.579 Å, intensity 18



# 7
Theoretical powder diffractogram of Ho2Th2Sc7 for copper Kα, from a DFT-relaxed cell (PBE, Alexandria).

```
Ho2Th2Sc7
1.0
5.2865 -5.3735 0.0000
5.2865 5.3735 0.0000
-2.3422 0.0000 5.3378
Ho Th Sc
2 2 7
Direct
0.2054 0.7946 0.0000 Ho
0.7946 0.2054 0.0000 Ho
0.3982 0.3982 0.6788 Th
0.6018 0.6018 0.3212 Th
0.0000 0.0000 0.5000 Sc
0.0678 0.5899 0.3294 Sc
0.2436 0.2436 0.0711 Sc
0.4101 0.9322 0.6706 Sc
0.5899 0.0678 0.3294 Sc
0.7564 0.7564 0.9289 Sc
0.9322 0.4101 0.6706 Sc
```

Principal peaks in the range 2θ from 10° to 90°, in order of falling intensity:
33.96°, 2.640 Å, intensity 100; 23.52°, 3.783 Å, intensity 49; 35.40°, 2.536 Å, intensity 46; 26.53°, 3.360 Å, intensity 42; 36.20°, 2.482 Å, intensity 37; 32.10°, 2.788 Å, intensity 33; 12.30°, 7.193 Å, intensity 31; 33.35°, 2.687 Å, intensity 29



# 8
Theoretical powder diffractogram of K2RbTl6 for copper Kα, from a DFT-relaxed cell (PBE, Alexandria).

```
K2RbTl6
1.0
9.5055 0.0000 0.0000
-4.7528 8.2320 0.0000
0.0000 0.0000 4.1148
K Rb Tl
2 1 6
Direct
0.3333 0.6667 0.0000 K
0.6667 0.3333 0.0000 K
0.0000 0.0000 0.0000 Rb
0.0000 0.3357 0.5000 Tl
0.0000 0.6643 0.5000 Tl
0.3357 0.0000 0.5000 Tl
0.3357 0.3357 0.5000 Tl
0.6643 0.0000 0.5000 Tl
0.6643 0.6643 0.5000 Tl
```

Principal peaks in the range 2θ from 10° to 90°, in order of falling intensity:
32.63°, 2.744 Å, intensity 100; 28.70°, 3.111 Å, intensity 89; 55.85°, 1.646 Å, intensity 71; 39.47°, 2.283 Å, intensity 69; 21.60°, 4.115 Å, intensity 53; 44.01°, 2.058 Å, intensity 42; 18.67°, 4.753 Å, intensity 37; 75.78°, 1.255 Å, intensity 29



# 9
Theoretical powder diffractogram of ErSn2Pd7Au2 for copper Kα, from a DFT-relaxed cell (PBE, Alexandria).

```
ErSn2Pd7Au2
1.0
2.9478 -2.8822 0.0000
2.9478 2.8822 0.0000
-0.0261 0.0000 12.7019
Er Sn Pd Au
1 2 7 2
Direct
0.0000 0.0000 0.0000 Er
0.0007 0.0007 0.6799 Sn
0.9993 0.9993 0.3201 Sn
0.0005 0.5004 0.1613 Pd
0.2475 0.2475 0.4998 Pd
0.5004 0.0005 0.1613 Pd
0.5000 0.5000 0.0000 Pd
0.4996 0.9995 0.8387 Pd
0.7525 0.7525 0.5002 Pd
0.9995 0.4996 0.8387 Pd
0.5002 0.5002 0.3169 Au
0.4998 0.4998 0.6831 Au
```

Principal peaks in the range 2θ from 10° to 90°, in order of falling intensity:
37.16°, 2.419 Å, intensity 100; 37.76°, 2.383 Å, intensity 49; 43.94°, 2.061 Å, intensity 34; 42.71°, 2.117 Å, intensity 30; 77.02°, 1.238 Å, intensity 24; 63.04°, 1.475 Å, intensity 21; 49.17°, 1.853 Å, intensity 18; 31.03°, 2.882 Å, intensity 17



# 10
Theoretical powder diffractogram of Pa2CuPdO8 for copper Kα, from a DFT-relaxed cell (PBE, Alexandria).

```
Pa2CuPdO8
1.0
5.2213 0.0000 0.0000
-2.6107 4.5218 0.0000
0.0000 0.0000 6.3135
Pa Cu Pd O
2 1 1 8
Direct
0.3333 0.6667 0.3444 Pa
0.6667 0.3333 0.6556 Pa
0.0000 0.0000 0.5000 Cu
0.0000 0.0000 0.0000 Pd
0.1717 0.3435 0.6650 O
0.1717 0.8283 0.6650 O
0.3333 0.6667 0.0510 O
0.3435 0.1717 0.3350 O
0.6565 0.8283 0.6650 O
0.6667 0.3333 0.9490 O
0.8283 0.1717 0.3350 O
0.8283 0.6565 0.3350 O
```

Principal peaks in the range 2θ from 10° to 90°, in order of falling intensity:
24.21°, 3.676 Å, intensity 100; 34.35°, 2.611 Å, intensity 73; 34.66°, 2.588 Å, intensity 57; 42.47°, 2.129 Å, intensity 40; 49.60°, 1.838 Å, intensity 32; 14.03°, 6.314 Å, intensity 28; 61.72°, 1.503 Å, intensity 23; 55.72°, 1.650 Å, intensity 23



# 11
Theoretical powder diffractogram of Li2LaIO6 for copper Kα, from a DFT-relaxed cell (PBE, Alexandria).

```
Li2LaIO6
1.0
2.6211 1.5133 5.4378
-2.6211 1.5133 5.4378
0.0000 -3.0266 5.4378
Li La I O
2 1 1 6
Direct
0.1927 0.1927 0.1927 Li
0.8073 0.8073 0.8073 Li
0.0000 0.0000 0.0000 La
0.5000 0.5000 0.5000 I
0.1421 0.4192 0.7396 O
0.2604 0.8579 0.5808 O
0.4192 0.7396 0.1421 O
0.5808 0.2604 0.8579 O
0.7396 0.1421 0.4192 O
0.8579 0.5808 0.2604 O
```

Principal peaks in the range 2θ from 10° to 90°, in order of falling intensity:
22.41°, 3.967 Å, intensity 100; 29.44°, 3.034 Å, intensity 47; 48.23°, 1.887 Å, intensity 33; 34.21°, 2.621 Å, intensity 24; 45.75°, 1.983 Å, intensity 16; 54.66°, 1.679 Å, intensity 15; 41.28°, 2.187 Å, intensity 15; 58.34°, 1.582 Å, intensity 14



# 12
Theoretical powder diffractogram of ErMoN for copper Kα, from a DFT-relaxed cell (PBE, Alexandria).

```
ErMoN
1.0
10.9500 0.0000 0.0000
0.0000 1.5645 2.7083
0.0000 -1.5645 2.7083
Er Mo N
2 2 2
Direct
0.1372 0.0000 0.0000 Er
0.8628 0.0000 0.0000 Er
0.3817 0.3357 0.3357 Mo
0.6183 0.3357 0.3357 Mo
0.0000 0.3330 0.3330 N
0.5000 0.0024 0.0024 N
```

Principal peaks in the range 2θ from 10° to 90°, in order of falling intensity:
34.09°, 2.630 Å, intensity 100; 41.51°, 2.175 Å, intensity 98; 33.07°, 2.709 Å, intensity 58; 32.71°, 2.737 Å, intensity 51; 59.06°, 1.564 Å, intensity 38; 69.18°, 1.358 Å, intensity 36; 47.20°, 1.926 Å, intensity 34; 69.37°, 1.355 Å, intensity 26



# 13
Theoretical powder diffractogram of Sm6AlCo for copper Kα, from a DFT-relaxed cell (PBE, Alexandria).

```
Sm6AlCo
1.0
3.8762 -5.0935 0.0000
3.8762 5.0935 0.0000
-1.5277 0.0000 6.1834
Sm Al Co
6 1 1
Direct
0.0523 0.6830 0.7192 Sm
0.2829 0.2829 0.8569 Sm
0.3170 0.9477 0.2808 Sm
0.6830 0.0523 0.7192 Sm
0.7171 0.7171 0.1431 Sm
0.9477 0.3170 0.2808 Sm
0.5000 0.5000 0.5000 Al
0.0000 0.0000 0.0000 Co
```

Principal peaks in the range 2θ from 10° to 90°, in order of falling intensity:
33.63°, 2.665 Å, intensity 100; 28.86°, 3.094 Å, intensity 79; 30.63°, 2.919 Å, intensity 71; 24.57°, 3.624 Å, intensity 59; 31.01°, 2.884 Å, intensity 56; 29.81°, 2.998 Å, intensity 48; 30.27°, 2.953 Å, intensity 45; 36.36°, 2.471 Å, intensity 45